Starting from a cell relaxed with PBE, the powder diffraction line list of K4CO6 was computed for Cu Kα.

Structure:
a b c (Å): 5.463 5.758 7.071
angles (deg): 94.73 98.19 114.98
Space group P1 (No. 1)
Asymmetric unit:
K (0.000, 0.000, 0.000)
K (0.002, 0.941, 0.511)
K (0.320, 0.603, 0.712)
K (0.646, 0.317, 0.274)
C (0.657, 0.294, 0.757)
O (0.158, 0.323, 0.336)
O (0.310, 0.703, 0.216)
O (0.441, 0.221, 0.838)
O (0.565, 0.796, 0.182)
O (0.737, 0.123, 0.697)
O (0.788, 0.536, 0.732)

Main lines, by angle (15° ≤ 2θ ≤ 90°):
h k l	2θ/deg	Rel. int.
1 0 -2	28.62	74
1 1 0	30.34	81
1 -2 0	31.35	100
1 -1 2	32.81	79
2 -1 0	33.16	99
0 1 2	33.44	100
1 0 2	34.69	51
0 2 -2	40.22	50